Theoretical PXRD pattern of HfScCoB for Cu Ka, from DFT lattice parameters and positions (PBE).
Peak positions follow from Bragg's law for the DFT cell and can differ from measured ones.

Atomic structure:
```
data_HfScCoB
_chemical_formula_sum 'Hf4 Sc4 Co4 B4'
_space_group_name_H-M_alt 'P 1'
_space_group_IT_number 1
_space_group_name_Hall 'P 1'
_cell_length_a 6.032
_cell_length_b 6.032
_cell_length_c 6.032
_cell_angle_alpha 90.00
_cell_angle_beta 90.00
_cell_angle_gamma 90.00
loop_
_atom_site_label
_atom_site_fract_x
_atom_site_fract_y
_atom_site_fract_z
Hf1 0.000 0.000 0.000
Hf2 0.000 0.500 0.500
Hf3 0.500 0.000 0.500
Hf4 0.500 0.500 0.000
Sc1 0.250 0.250 0.250
Sc2 0.250 0.750 0.750
Sc3 0.750 0.250 0.750
Sc4 0.750 0.750 0.250
Co1 0.250 0.250 0.750
Co2 0.250 0.750 0.250
Co3 0.750 0.250 0.250
Co4 0.750 0.750 0.750
B1 0.000 0.000 0.500
B2 0.000 0.500 0.000
B3 0.500 0.000 0.000
B4 0.500 0.500 0.500
```

The 10 most intense peaks (2θ = 15–90°), by intensity:
| two_theta | d [Å] | I (rel.) |
| --- | --- | --- |
| 42.4 | 2.133 | 100 |
| 25.6 | 3.482 | 85 |
| 50.2 | 1.819 | 43 |
| 77.5 | 1.231 | 32 |
| 67.7 | 1.384 | 18 |
| 61.5 | 1.508 | 16 |
| 83.2 | 1.161 | 14 |
| 29.6 | 3.016 | 9 |
| 69.7 | 1.349 | 4 |
| 52.6 | 1.741 | 3 |



Theoretical PXRD pattern of SnPtSe4 for Cu Ka, from DFT lattice parameters and positions (PBE).
Peak positions follow from Bragg's law for the DFT cell and can differ from measured ones.

Atomic structure:
```
data_SnPtSe4
_chemical_formula_sum 'Sn1 Pt1 Se4'
_space_group_name_H-M_alt 'P 1'
_space_group_IT_number 1
_space_group_name_Hall 'P 1'
_cell_length_a 6.586
_cell_length_b 3.807
_cell_length_c 7.067
_cell_angle_alpha 90.00
_cell_angle_beta 107.06
_cell_angle_gamma 90.00
loop_
_atom_site_label
_atom_site_fract_x
_atom_site_fract_y
_atom_site_fract_z
Sn1 0.000 0.000 0.000
Pt1 0.500 0.500 0.000
Se1 0.119 0.500 0.776
Se2 0.420 0.000 0.206
Se3 0.580 0.000 0.794
Se4 0.881 0.500 0.224
```

The 10 most intense peaks (2θ = 15–90°), by intensity:
| two_theta | d [Å] | I (rel.) |
| --- | --- | --- |
| 35.3 | 2.546 | 100 |
| 28.6 | 3.126 | 87 |
| 47.8 | 1.902 | 62 |
| 34.8 | 2.578 | 53 |
| 28.4 | 3.148 | 39 |
| 41.3 | 2.185 | 37 |
| 52.8 | 1.733 | 32 |
| 60.5 | 1.531 | 21 |
| 41.9 | 2.155 | 18 |
| 74.6 | 1.273 | 17 |



Theoretical PXRD pattern of ErNi4 for Cu Ka, from DFT lattice parameters and positions (PBE).
Peak positions follow from Bragg's law for the DFT cell and can differ from measured ones.

Atomic structure:
```
data_ErNi4
_chemical_formula_sum 'Er3 Ni12'
_space_group_name_H-M_alt 'P 1'
_space_group_IT_number 1
_space_group_name_Hall 'P 1'
_cell_length_a 4.838
_cell_length_b 4.838
_cell_length_c 10.168
_cell_angle_alpha 94.69
_cell_angle_beta 94.69
_cell_angle_gamma 120.29
loop_
_atom_site_label
_atom_site_fract_x
_atom_site_fract_y
_atom_site_fract_z
Er1 0.000 0.000 0.000
Er2 0.130 0.130 0.356
Er3 0.870 0.870 0.644
Ni1 0.068 0.568 0.198
Ni2 0.190 0.535 0.595
Ni3 0.333 0.667 0.000
Ni4 0.429 0.429 0.800
Ni5 0.432 0.932 0.802
Ni6 0.465 0.810 0.405
Ni7 0.535 0.190 0.595
Ni8 0.568 0.068 0.198
Ni9 0.571 0.571 0.200
Ni10 0.667 0.333 0.000
Ni11 0.810 0.465 0.405
Ni12 0.932 0.432 0.802
```

The 10 most intense peaks (2θ = 15–90°), by intensity:
| two_theta | d [Å] | I (rel.) |
| --- | --- | --- |
| 42.9 | 2.106 | 100 |
| 44.5 | 2.038 | 81 |
| 44.8 | 2.022 | 49 |
| 37.3 | 2.411 | 48 |
| 45.2 | 2.006 | 42 |
| 34.3 | 2.615 | 42 |
| 31.9 | 2.803 | 40 |
| 43.4 | 2.085 | 39 |
| 37.4 | 2.402 | 29 |
| 43.1 | 2.098 | 26 |



Theoretical PXRD pattern of Pr2Dy2Br5N for Cu Ka, from DFT lattice parameters and positions (PBE).
Peak positions follow from Bragg's law for the DFT cell and can differ from measured ones.

Atomic structure:
```
data_Pr2Dy2Br5N
_chemical_formula_sum 'Pr2 Dy2 Br5 N1'
_space_group_name_H-M_alt 'P 1'
_space_group_IT_number 1
_space_group_name_Hall 'P 1'
_cell_length_a 9.198
_cell_length_b 9.198
_cell_length_c 8.399
_cell_angle_alpha 102.75
_cell_angle_beta 102.75
_cell_angle_gamma 24.15
loop_
_atom_site_label
_atom_site_fract_x
_atom_site_fract_y
_atom_site_fract_z
Pr1 0.001 0.001 0.296
Pr2 0.999 0.999 0.704
Dy1 0.366 0.366 0.433
Dy2 0.634 0.634 0.567
Br1 0.169 0.169 0.827
Br2 0.174 0.174 0.341
Br3 0.500 0.500 0.000
Br4 0.826 0.826 0.659
Br5 0.831 0.831 0.173
N1 0.500 0.500 0.500
```

The 10 most intense peaks (2θ = 15–90°), by intensity:
| two_theta | d [Å] | I (rel.) |
| --- | --- | --- |
| 31.5 | 2.837 | 100 |
| 34.6 | 2.594 | 44 |
| 30.6 | 2.921 | 36 |
| 44.6 | 2.030 | 23 |
| 44.4 | 2.041 | 22 |
| 31.1 | 2.873 | 21 |
| 39.9 | 2.262 | 20 |
| 47.2 | 1.924 | 18 |
| 43.1 | 2.100 | 16 |
| 20.7 | 4.286 | 13 |



Theoretical PXRD pattern of PrGaCuSnPd for Cu Ka, from DFT lattice parameters and positions (PBE).
Peak positions follow from Bragg's law for the DFT cell and can differ from measured ones.

Atomic structure:
```
data_PrGaCuSnPd
_chemical_formula_sum 'Pr2 Ga2 Cu2 Sn2 Pd2'
_space_group_name_H-M_alt 'P 1'
_space_group_IT_number 1
_space_group_name_Hall 'P 1'
_cell_length_a 4.413
_cell_length_b 4.413
_cell_length_c 10.517
_cell_angle_alpha 90.00
_cell_angle_beta 90.00
_cell_angle_gamma 90.00
loop_
_atom_site_label
_atom_site_fract_x
_atom_site_fract_y
_atom_site_fract_z
Pr1 0.250 0.250 0.236
Pr2 0.750 0.750 0.764
Ga1 0.250 0.250 0.878
Ga2 0.750 0.750 0.122
Cu1 0.250 0.250 0.648
Cu2 0.750 0.750 0.352
Sn1 0.250 0.750 0.500
Sn2 0.750 0.250 0.500
Pd1 0.250 0.750 0.000
Pd2 0.750 0.250 0.000
```

The 10 most intense peaks (2θ = 15–90°), by intensity:
| two_theta | d [Å] | I (rel.) |
| --- | --- | --- |
| 33.4 | 2.684 | 100 |
| 40.9 | 2.207 | 51 |
| 32.6 | 2.745 | 33 |
| 69.7 | 1.349 | 24 |
| 59.2 | 1.560 | 17 |
| 53.3 | 1.720 | 16 |
| 45.1 | 2.011 | 15 |
| 47.9 | 1.899 | 14 |
| 60.6 | 1.528 | 11 |
| 64.8 | 1.439 | 11 |



Theoretical PXRD pattern of Al8Co5 for Cu Ka, from DFT lattice parameters and positions (PBE).
Peak positions follow from Bragg's law for the DFT cell and can differ from measured ones.

Atomic structure:
```
data_Al8Co5
_chemical_formula_sum 'Al8 Co5'
_space_group_name_H-M_alt 'P 1'
_space_group_IT_number 1
_space_group_name_Hall 'P 1'
_cell_length_a 8.562
_cell_length_b 8.562
_cell_length_c 8.562
_cell_angle_alpha 33.58
_cell_angle_beta 33.58
_cell_angle_gamma 33.58
loop_
_atom_site_label
_atom_site_fract_x
_atom_site_fract_y
_atom_site_fract_z
Al1 0.085 0.581 0.581
Al2 0.148 0.148 0.148
Al3 0.419 0.419 0.915
Al4 0.419 0.915 0.419
Al5 0.581 0.085 0.581
Al6 0.581 0.581 0.085
Al7 0.852 0.852 0.852
Al8 0.915 0.419 0.419
Co1 0.049 0.049 0.049
Co2 0.332 0.332 0.332
Co3 0.500 0.500 0.500
Co4 0.668 0.668 0.668
Co5 0.951 0.951 0.951
```

The 10 most intense peaks (2θ = 15–90°), by intensity:
| two_theta | d [Å] | I (rel.) |
| --- | --- | --- |
| 42.9 | 2.109 | 100 |
| 36.3 | 2.473 | 85 |
| 46.4 | 1.958 | 76 |
| 50.1 | 1.821 | 29 |
| 77.1 | 1.237 | 24 |
| 69.9 | 1.346 | 24 |
| 72.5 | 1.304 | 22 |
| 42.4 | 2.134 | 15 |
| 65.4 | 1.428 | 14 |
| 81.4 | 1.182 | 14 |